No. 1
Starting from a GGA-PBE-relaxed structure, the X-ray diffraction stick pattern of NiAgI6 was computed for copper Kα.

Largest 12 diffraction maxima, in order of rising 2θ, 5 to 70 degrees two-theta:
- 2θ 13.65, rel. 52.1
- 2θ 18.08, rel. 27.8
- 2θ 21.49, rel. 18.8
- 2θ 24.27, rel. 100.0
- 2θ 29.36, rel. 26.5
- 2θ 30.05, rel. 30.5
- 2θ 30.63, rel. 35.9
- 2θ 31.42, rel. 23.6
- 2θ 33.27, rel. 25.0
- 2θ 35.03, rel. 30.4
- 2θ 41.55, rel. 20.3
- 2θ 46.12, rel. 20.6

Cell and atoms:
```
NiAgI6
1.0
6.8870 0.0000 0.0000
-0.1656 6.9032 0.0000
-3.3709 -2.4522 6.4931
Ni Ag I
1 1 6
direct
0.0000 0.0000 0.0000 Ni
0.5000 0.5000 0.0000 Ag
0.0376 0.1236 0.3853 I
0.2322 0.3729 0.1628 I
0.3823 0.8771 0.1503 I
0.6177 0.1229 0.8497 I
0.7678 0.6271 0.8372 I
0.9624 0.8764 0.6147 I
```

No. 2
Starting from a GGA-PBE-relaxed structure, the X-ray diffraction stick pattern of Ba2CaNdTe4 was computed for copper Kα.

Largest 12 diffraction maxima, in order of rising 2θ, 5 to 70 degrees two-theta:
- 2θ 26.60, rel. 100.0
- 2θ 37.73, rel. 36.2
- 2θ 38.21, rel. 39.0
- 2θ 46.34, rel. 5.8
- 2θ 47.17, rel. 20.7
- 2θ 54.78, rel. 12.1
- 2θ 61.57, rel. 14.8
- 2θ 62.21, rel. 11.9
- 2θ 62.33, rel. 5.9
- 2θ 67.78, rel. 4.5
- 2θ 68.72, rel. 8.1
- 2θ 69.13, rel. 4.5

Cell and atoms:
```
Ba2CaNdTe4
1.0
8.1690 0.0000 0.0000
0.0000 4.7041 0.0000
-2.7195 0.0000 7.8372
Ba Ca Nd Te
2 1 1 4
direct
0.0000 0.0000 0.0000 Ba
0.5000 0.5000 0.0000 Ba
0.0000 0.5000 0.5000 Ca
0.5000 0.0000 0.5000 Nd
0.2410 0.0000 0.7220 Te
0.2589 0.5000 0.2766 Te
0.7411 0.5000 0.7234 Te
0.7590 0.0000 0.2780 Te
```

No. 3
Starting from a GGA-PBE-relaxed structure, the X-ray diffraction stick pattern of NaVRu3 was computed for copper Kα.

Largest 10 diffraction maxima, in order of rising 2θ, 5 to 70 degrees two-theta:
- 2θ 19.60, rel. 66.1
- 2θ 27.86, rel. 2.5
- 2θ 34.30, rel. 100.0
- 2θ 39.81, rel. 90.2
- 2θ 44.75, rel. 28.7
- 2θ 49.29, rel. 1.2
- 2θ 57.56, rel. 59.0
- 2θ 61.42, rel. 13.5
- 2θ 65.14, rel. 0.6
- 2θ 68.75, rel. 38.4

Cell and atoms:
```
NaVRu3
1.0
4.5288 0.0000 0.0000
0.0000 4.5288 0.0000
0.0000 0.0000 4.5288
Na V Ru
1 1 3
direct
0.0000 0.0000 0.0000 Na
0.5000 0.5000 0.5000 V
0.0000 0.5000 0.5000 Ru
0.5000 0.0000 0.5000 Ru
0.5000 0.5000 0.0000 Ru
```

No. 4
Starting from a GGA-PBE-relaxed structure, the X-ray diffraction stick pattern of TbHo2Er was computed for copper Kα.

Largest 12 diffraction maxima, in order of rising 2θ, 5 to 70 degrees two-theta:
- 2θ 29.53, rel. 33.8
- 2θ 31.52, rel. 50.5
- 2θ 31.95, rel. 100.0
- 2θ 34.52, rel. 85.6
- 2θ 39.50, rel. 13.3
- 2θ 47.68, rel. 10.5
- 2θ 51.50, rel. 38.6
- 2θ 54.69, rel. 20.8
- 2θ 59.72, rel. 18.6
- 2θ 61.65, rel. 44.9
- 2θ 61.90, rel. 15.2
- 2θ 63.49, rel. 14.8

Cell and atoms:
```
TbHo2Er
1.0
3.5488 0.0000 0.0000
-1.7744 3.0733 0.0000
0.0000 0.0000 34.0560
Tb Ho Er
3 6 3
direct
0.0000 0.0000 0.0000 Tb
0.3333 0.6667 0.6667 Tb
0.6667 0.3333 0.3333 Tb
0.0000 0.0000 0.4176 Ho
0.0000 0.0000 0.5827 Ho
0.3333 0.6667 0.0843 Ho
0.3333 0.6667 0.2494 Ho
0.6667 0.3333 0.7510 Ho
0.6667 0.3333 0.9160 Ho
0.0000 0.0000 0.8339 Er
0.3333 0.6667 0.5006 Er
0.6667 0.3333 0.1673 Er
```

No. 5
Starting from a GGA-PBE-relaxed structure, the X-ray diffraction stick pattern of SmSc4Te6 was computed for copper Kα.

Largest 12 diffraction maxima, in order of rising 2θ, 5 to 70 degrees two-theta:
- 2θ 27.93, rel. 41.9
- 2θ 28.18, rel. 86.2
- 2θ 29.33, rel. 30.3
- 2θ 30.22, rel. 100.0
- 2θ 31.67, rel. 50.4
- 2θ 40.60, rel. 20.8
- 2θ 42.99, rel. 47.1
- 2θ 43.52, rel. 33.9
- 2θ 44.91, rel. 25.1
- 2θ 52.02, rel. 20.1
- 2θ 52.65, rel. 34.6
- 2θ 62.86, rel. 18.7

Cell and atoms:
```
SmSc4Te6
1.0
2.0793 -6.8585 0.0000
2.0793 6.8585 0.0000
0.0000 0.0000 21.4244
Sm Sc Te
2 8 12
direct
0.1510 0.8490 0.7500 Sm
0.8490 0.1510 0.2500 Sm
0.0931 0.9069 0.1229 Sc
0.0931 0.9069 0.3771 Sc
0.3540 0.6460 0.0340 Sc
0.3540 0.6460 0.4660 Sc
0.6460 0.3540 0.5340 Sc
0.6460 0.3540 0.9660 Sc
0.9069 0.0931 0.6229 Sc
0.9069 0.0931 0.8771 Sc
0.0000 0.0000 0.0000 Te
0.0000 0.0000 0.5000 Te
0.1781 0.8219 0.2500 Te
0.2650 0.7350 0.5920 Te
0.2650 0.7350 0.9080 Te
0.4520 0.5480 0.1589 Te
0.4520 0.5480 0.3411 Te
0.5480 0.4520 0.6589 Te
0.5480 0.4520 0.8411 Te
0.7350 0.2650 0.0920 Te
0.7350 0.2650 0.4080 Te
0.8219 0.1781 0.7500 Te
```

No. 6
Starting from a GGA-PBE-relaxed structure, the X-ray diffraction stick pattern of Zr2ScN was computed for copper Kα.

Largest 12 diffraction maxima, in order of rising 2θ, 5 to 70 degrees two-theta:
- 2θ 10.48, rel. 100.0
- 2θ 31.79, rel. 51.0
- 2θ 32.15, rel. 98.3
- 2θ 32.74, rel. 20.0
- 2θ 35.02, rel. 41.5
- 2θ 36.65, rel. 40.3
- 2θ 40.73, rel. 20.2
- 2θ 43.11, rel. 76.5
- 2θ 48.44, rel. 23.2
- 2θ 56.93, rel. 36.8
- 2θ 57.62, rel. 14.6
- 2θ 66.69, rel. 34.1

Cell and atoms:
```
Zr2ScN
1.0
3.2349 0.0000 0.0000
-1.6175 2.8015 0.0000
0.0000 0.0000 25.3337
Zr Sc N
6 3 3
direct
0.0000 0.0000 0.1167 Zr
0.0000 0.0000 0.8833 Zr
0.3333 0.6667 0.5500 Zr
0.3333 0.6667 0.7833 Zr
0.6667 0.3333 0.2167 Zr
0.6667 0.3333 0.4500 Zr
0.0000 0.0000 0.0000 Sc
0.3333 0.6667 0.6667 Sc
0.6667 0.3333 0.3333 Sc
0.0000 0.0000 0.5000 N
0.3333 0.6667 0.1667 N
0.6667 0.3333 0.8333 N
```

No. 7
Starting from a GGA-PBE-relaxed structure, the X-ray diffraction stick pattern of PmCr2GeC was computed for copper Kα.

Largest 12 diffraction maxima, in order of rising 2θ, 5 to 70 degrees two-theta:
- 2θ 22.78, rel. 14.3
- 2θ 24.81, rel. 40.1
- 2θ 31.56, rel. 24.5
- 2θ 33.52, rel. 100.0
- 2θ 36.98, rel. 61.1
- 2θ 37.35, rel. 58.2
- 2θ 46.70, rel. 40.1
- 2θ 48.11, rel. 49.5
- 2θ 58.68, rel. 14.7
- 2θ 59.65, rel. 19.3
- 2θ 60.16, rel. 18.0
- 2θ 69.06, rel. 12.5

Cell and atoms:
```
PmCr2GeC
1.0
2.6591 -5.6701 0.0000
2.6591 5.6701 0.0000
0.0000 0.0000 5.3807
Pm Cr Ge C
2 4 2 2
direct
0.2491 0.7509 0.7500 Pm
0.7509 0.2491 0.2500 Pm
0.2676 0.2676 0.0000 Cr
0.2676 0.2676 0.5000 Cr
0.7324 0.7324 0.0000 Cr
0.7324 0.7324 0.5000 Cr
0.1330 0.8670 0.2500 Ge
0.8670 0.1330 0.7500 Ge
0.4437 0.5563 0.2500 C
0.5563 0.4437 0.7500 C
```

No. 8
Starting from a GGA-PBE-relaxed structure, the X-ray diffraction stick pattern of Pu4AgAu3 was computed for copper Kα.

Largest 12 diffraction maxima, in order of rising 2θ, 5 to 70 degrees two-theta:
- 2θ 8.08, rel. 2.3
- 2θ 22.94, rel. 3.0
- 2θ 32.59, rel. 34.1
- 2θ 32.74, rel. 34.0
- 2θ 36.70, rel. 100.0
- 2θ 46.87, rel. 25.5
- 2θ 58.43, rel. 6.7
- 2θ 60.87, rel. 23.5
- 2θ 61.05, rel. 23.3
- 2θ 68.28, rel. 4.2
- 2θ 68.53, rel. 8.3
- 2θ 68.61, rel. 12.4

Cell and atoms:
```
Pu4AgAu3
1.0
3.1591 0.0000 0.0000
0.0000 5.4944 0.0000
0.0000 0.0000 10.9412
Pu Ag Au
4 1 3
direct
0.0000 0.0000 0.0000 Pu
0.0000 0.0000 0.5000 Pu
0.0000 0.5000 0.2464 Pu
0.0000 0.5000 0.7536 Pu
0.5000 0.5000 0.5000 Ag
0.5000 0.0000 0.2505 Au
0.5000 0.0000 0.7495 Au
0.5000 0.5000 0.0000 Au
```